No. 1
Calculated powder X-ray diffraction pattern of TiCl3 for Cu Kα (λ = 1.5418 Å), from a GGA-PBE-relaxed structure.

Crystal structure
Cell lengths 6.098, 6.098, 19.338 Å; angles 90.13, 90.13, 119.63 degrees
Element x y z (fractional)
Ti  0.158  0.477  0.335
Ti  0.159  0.841  0.000
Ti  0.477  0.158  0.335
Ti  0.523  0.842  0.665
Ti  0.841  0.159  0.000
Ti  0.842  0.523  0.665
Cl  0.145  0.500  0.072
Cl  0.150  0.150  0.925
Cl  0.170  0.170  0.410
Cl  0.172  0.818  0.263
Cl  0.182  0.536  0.594
Cl  0.182  0.828  0.737
Cl  0.464  0.464  0.259
Cl  0.464  0.818  0.406
Cl  0.500  0.145  0.072
Cl  0.500  0.855  0.928
Cl  0.536  0.182  0.594
Cl  0.536  0.536  0.741
Cl  0.818  0.172  0.263
Cl  0.818  0.464  0.406
Cl  0.828  0.182  0.737
Cl  0.830  0.830  0.590
Cl  0.850  0.850  0.075
Cl  0.855  0.500  0.928

Principal peaks in the range 10 to 90 degrees two-theta, low angle first:
two_theta  I/Imax
13.74  80
17.33  19
19.13  14
30.77  15
34.74  100
44.20  19
47.82  10
48.09  20
51.74  18
52.04  10


No. 2
Calculated powder X-ray diffraction pattern of K2LiS2O4F2 for Cu Kα (λ = 1.5418 Å), from a GGA-PBE-relaxed structure.

Crystal structure
Cell lengths 5.267, 5.460, 7.015 Å; angles 90.00, 108.18, 90.00 degrees
Element x y z (fractional)
K  0.000  0.000  0.000
K  0.141  0.500  0.438
Li  0.394  0.000  0.665
S  0.457  0.500  0.977
S  0.668  0.000  0.403
O  0.397  0.272  0.852
O  0.397  0.728  0.852
O  0.692  0.226  0.528
O  0.692  0.774  0.528
F  0.018  0.500  0.053
F  0.156  0.000  0.409

Principal peaks in the range 10 to 90 degrees two-theta, low angle first:
two_theta  I/Imax
24.12  32
24.75  57
25.37  23
26.75  100
30.27  48
31.78  25
32.80  28
34.12  88
42.37  27
42.82  23


No. 3
Calculated powder X-ray diffraction pattern of V3Zn2N for Cu Kα (λ = 1.5418 Å), from a GGA-PBE-relaxed structure.

Crystal structure
Cell lengths 6.578, 6.578, 6.578 Å; angles 90.00, 90.00, 90.00 degrees
Element x y z (fractional)
V  0.037  0.125  0.787
V  0.125  0.787  0.037
V  0.213  0.537  0.375
V  0.287  0.463  0.875
V  0.375  0.213  0.537
V  0.463  0.875  0.287
V  0.537  0.375  0.213
V  0.625  0.713  0.963
V  0.713  0.963  0.625
V  0.787  0.037  0.125
V  0.875  0.287  0.463
V  0.963  0.625  0.713
Zn  0.073  0.927  0.427
Zn  0.177  0.177  0.177
Zn  0.323  0.823  0.677
Zn  0.427  0.073  0.927
Zn  0.573  0.573  0.573
Zn  0.677  0.323  0.823
Zn  0.823  0.677  0.323
Zn  0.927  0.427  0.073
N  0.125  0.375  0.625
N  0.375  0.625  0.125
N  0.625  0.125  0.375
N  0.875  0.875  0.875

Principal peaks in the range 10 to 90 degrees two-theta, low angle first:
two_theta  I/Imax
41.17  100
43.51  55
45.75  19
52.02  18
57.79  5
63.22  6
73.39  22
75.03  7
78.27  23
89.36  8


Repeat the first record exactly.
Calculated powder X-ray diffraction pattern of TiCl3 for Cu Kα (λ = 1.5418 Å), from a GGA-PBE-relaxed structure.

Crystal structure
Cell lengths 6.098, 6.098, 19.338 Å; angles 90.13, 90.13, 119.63 degrees
Element x y z (fractional)
Ti  0.158  0.477  0.335
Ti  0.159  0.841  0.000
Ti  0.477  0.158  0.335
Ti  0.523  0.842  0.665
Ti  0.841  0.159  0.000
Ti  0.842  0.523  0.665
Cl  0.145  0.500  0.072
Cl  0.150  0.150  0.925
Cl  0.170  0.170  0.410
Cl  0.172  0.818  0.263
Cl  0.182  0.536  0.594
Cl  0.182  0.828  0.737
Cl  0.464  0.464  0.259
Cl  0.464  0.818  0.406
Cl  0.500  0.145  0.072
Cl  0.500  0.855  0.928
Cl  0.536  0.182  0.594
Cl  0.536  0.536  0.741
Cl  0.818  0.172  0.263
Cl  0.818  0.464  0.406
Cl  0.828  0.182  0.737
Cl  0.830  0.830  0.590
Cl  0.850  0.850  0.075
Cl  0.855  0.500  0.928

Principal peaks in the range 10 to 90 degrees two-theta, low angle first:
two_theta  I/Imax
13.74  80
17.33  19
19.13  14
30.77  15
34.74  100
44.20  19
47.82  10
48.09  20
51.74  18
52.04  10